Diffraction record for GaW3F. The XRD peak list is simulated, not measured: it uses a DFT-relaxed cell (GGA+U, Alexandria) and Cu Kα (λ = 1.5418 Å).
Kinematic intensities with the Lorentz-polarization factor, no thermal factor.

Structural model:
Unit cell a=4.303 b=4.303 c=4.303 alpha=90.00 beta=90.00 gamma=90.00
Atoms (fractional coordinates):
Ga 0.000 0.000 0.000
W 0.000 0.500 0.500
W 0.500 0.000 0.500
W 0.500 0.500 0.000
F 0.500 0.500 0.500

Main lines, in order of rising 2θ (10 to 90 degrees two-theta):
| two_theta | I/Imax |
| --- | --- |
| 20.64 | 14 |
| 29.35 | 5 |
| 36.16 | 100 |
| 41.99 | 56 |
| 47.23 | 6 |
| 60.89 | 38 |
| 72.91 | 40 |
| 76.72 | 13 |